Record 1
Starting from a crystal structure in the Materials Project, relaxed with GGA-PBE, the powder diffraction line list of RbSb3S5O was computed for Cu Kα (λ = 1.5418 Å).
Lines closer than 0.1° are merged.

Structure:
```
data_RbSb3S5O
_chemical_formula_sum 'Rb2 Sb6 S10 O2'
_cell_length_a 7.7666
_cell_length_b 9.1301
_cell_length_c 9.5413
_cell_angle_alpha 98.86
_cell_angle_beta 96.21
_cell_angle_gamma 93.02
_space_group_name_H-M_alt 'P -1'
_space_group_IT_number 2
loop_
_space_group_symop_operation_xyz
'x,y,z'
'-x,-y,-z'
loop_
_atom_site_label
_atom_site_type_symbol
_atom_site_fract_x
_atom_site_fract_y
_atom_site_fract_z
_atom_site_occupancy
Rb1 Rb 0.1538 0.1152 0.1571 1
Sb1 Sb 0.2721 0.0874 0.6256 1
Sb2 Sb 0.3296 0.5099 0.8402 1
Sb3 Sb 0.3520 0.6578 0.4011 1
S1 S 0.1604 0.1795 0.8334 1
S2 S 0.3327 0.3630 0.5439 1
S3 S 0.3482 0.4867 0.1618 1
S4 S 0.3518 0.7853 0.8640 1
S5 S 0.4055 0.8931 0.3092 1
O1 O 0.1961 0.8392 0.9412 1
```

Principal peaks in the range 15 to 90 degrees two-theta, low angle first:
| 2theta | I_rel |
| --- | --- |
| 15.7 | 81 |
| 19.9 | 70 |
| 22.8 | 70 |
| 23.1 | 75 |
| 23.6 | 57 |
| 23.8 | 100 |
| 32.4 | 84 |
| 32.8 | 83 |

***

Record 2
Starting from a crystal structure in the Materials Project, relaxed with GGA-PBE, the powder diffraction line list of Y2Zr8O19 was computed for Cu Kα (λ = 1.5418 Å).
Lines closer than 0.1° are merged.

Structure:
```
data_Y2Zr8O19
_chemical_formula_sum 'Y2 Zr8 O19'
_cell_length_a 3.6466
_cell_length_b 3.6466
_cell_length_c 25.7481
_cell_angle_alpha 90.00
_cell_angle_beta 90.00
_cell_angle_gamma 90.00
_space_group_name_H-M_alt 'P -4 m 2'
_space_group_IT_number 115
loop_
_space_group_symop_operation_xyz
'x,y,z'
'y,-x,-z'
'-x,-y,z'
'-y,x,-z'
'-x,y,z'
'-y,-x,-z'
'x,-y,z'
'y,x,-z'
loop_
_atom_site_label
_atom_site_type_symbol
_atom_site_fract_x
_atom_site_fract_y
_atom_site_fract_z
_atom_site_occupancy
Y1 Y 0.0000 0.5000 0.0565 1
Zr1 Zr 0.0000 0.5000 0.2520 1
Zr2 Zr 0.0000 0.5000 0.4503 1
Zr3 Zr 0.0000 0.5000 0.6489 1
Zr4 Zr 0.0000 0.5000 0.8472 1
O1 O 0.0000 0.0000 0.0000 1
O2 O 0.0000 0.0000 0.1092 1
O3 O 0.0000 0.0000 0.2074 1
O4 O 0.0000 0.0000 0.3053 1
O5 O 0.0000 0.0000 0.4027 1
O6 O 0.0000 0.0000 0.5000 1
O7 O 0.5000 0.5000 0.0977 1
O8 O 0.5000 0.5000 0.1971 1
O9 O 0.5000 0.5000 0.2974 1
O10 O 0.5000 0.5000 0.3982 1
O11 O 0.5000 0.5000 0.5000 1
```

Principal peaks in the range 15 to 90 degrees two-theta, low angle first:
| 2theta | I_rel |
| --- | --- |
| 30.0 | 100 |
| 34.8 | 22 |
| 50.1 | 58 |
| 59.5 | 40 |
| 62.4 | 6 |
| 73.4 | 6 |
| 81.4 | 15 |
| 84.0 | 5 |

***

Record 3
Starting from a crystal structure in the Materials Project, relaxed with GGA-PBE, the powder diffraction line list of LiCu2O4 was computed for Cu Kα (λ = 1.5418 Å).
Lines closer than 0.1° are merged.

Structure:
Unit cell a=8.3007 b=8.3007 c=8.3007 alpha=90.00 beta=90.00 gamma=90.00
Space group Fd-3m (No. 227, origin choice 2)
Inequivalent atoms, fractional coordinates:
Li (0.1250, 0.1250, 0.1250) x8
Cu (0.0000, 0.0000, 0.5000) x16
O (0.0131, 0.0131, 0.7369) x32

Principal peaks in the range 15 to 90 degrees two-theta, low angle first:
| 2theta | I_rel |
| --- | --- |
| 18.5 | 100 |
| 35.9 | 50 |
| 37.5 | 17 |
| 43.6 | 54 |
| 47.8 | 13 |
| 57.7 | 21 |
| 63.4 | 32 |
| 66.7 | 15 |

***

Record 4
Starting from a crystal structure in the Materials Project, relaxed with GGA-PBE, the powder diffraction line list of RbTcO4 was computed for Cu Kα (λ = 1.5418 Å).
Lines closer than 0.1° are merged.

Structure:
```
data_RbTcO4
_chemical_formula_sum 'Rb4 Tc4 O16'
_cell_length_a 5.9068
_cell_length_b 5.9068
_cell_length_c 13.6676
_cell_angle_alpha 90.00
_cell_angle_beta 90.00
_cell_angle_gamma 90.00
_space_group_name_H-M_alt 'I 41/a'
_space_group_IT_number 88
loop_
_space_group_symop_operation_xyz
'x,y,z'
'-x,-y,-z'
'-y+3/4,x+1/4,z+1/4'
'y+3/4,-x+1/4,-z+1/4'
'-x+1/2,-y,z+1/2'
'x+1/2,y,-z+1/2'
'y+3/4,-x+3/4,z+3/4'
'-y+3/4,x+3/4,-z+3/4'
'x+1/2,y+1/2,z+1/2'
'-x+1/2,-y+1/2,-z+1/2'
'-y+1/4,x+3/4,z+3/4'
'y+1/4,-x+3/4,-z+3/4'
'-x,-y+1/2,z'
'x,y+1/2,-z'
'y+1/4,-x+1/4,z+1/4'
'-y+1/4,x+1/4,-z+1/4'
loop_
_atom_site_label
_atom_site_type_symbol
_atom_site_fract_x
_atom_site_fract_y
_atom_site_fract_z
_atom_site_occupancy
Rb1 Rb 0.0000 0.2500 0.1250 1
Tc1 Tc 0.0000 0.2500 0.6250 1
O1 O 0.1083 0.0328 0.6979 1
```

Principal peaks in the range 15 to 90 degrees two-theta, low angle first:
| 2theta | I_rel |
| --- | --- |
| 25.0 | 100 |
| 26.1 | 17 |
| 30.3 | 21 |
| 40.4 | 27 |
| 45.3 | 17 |
| 50.7 | 24 |
| 51.3 | 13 |
| 64.5 | 15 |

***

Record 5
Starting from a crystal structure in the Materials Project, relaxed with GGA-PBE, the powder diffraction line list of Ce2SbAu3 was computed for Cu Kα (λ = 1.5418 Å).
Lines closer than 0.1° are merged.

Structure:
```
data_Ce2SbAu3
_chemical_formula_sum 'Ce2 Sb1 Au3'
_cell_length_a 3.5970
_cell_length_b 4.7977
_cell_length_c 8.4400
_cell_angle_alpha 90.00
_cell_angle_beta 90.00
_cell_angle_gamma 90.00
_space_group_name_H-M_alt 'P m m 2'
_space_group_IT_number 25
loop_
_space_group_symop_operation_xyz
'x,y,z'
'-x,-y,z'
'-x,y,z'
'x,-y,z'
loop_
_atom_site_label
_atom_site_type_symbol
_atom_site_fract_x
_atom_site_fract_y
_atom_site_fract_z
_atom_site_occupancy
Ce1 Ce 0.0000 0.0000 0.0000 1
Ce2 Ce 0.0000 0.5000 0.4650 1
Sb1 Sb 0.5000 0.5000 0.8150 1
Au1 Au 0.5000 0.0000 0.3157 1
Au2 Au 0.5000 0.0000 0.6439 1
Au3 Au 0.5000 0.5000 0.1500 1
```

Principal peaks in the range 15 to 90 degrees two-theta, low angle first:
| 2theta | I_rel |
| --- | --- |
| 24.8 | 23 |
| 32.7 | 48 |
| 32.9 | 100 |
| 37.0 | 84 |
| 37.5 | 42 |
| 50.6 | 28 |
| 64.5 | 34 |
| 64.8 | 31 |

***

Record 6
Starting from a crystal structure in the Materials Project, relaxed with GGA-PBE, the powder diffraction line list of Sc4Si2Pt7 was computed for Cu Kα (λ = 1.5418 Å).
Lines closer than 0.1° are merged.

Structure:
```
data_Sc4Si2Pt7
_chemical_formula_sum 'Sc8 Si4 Pt14'
_cell_length_a 6.5369
_cell_length_b 16.3405
_cell_length_c 4.0288
_cell_angle_alpha 90.00
_cell_angle_beta 90.00
_cell_angle_gamma 90.00
_space_group_name_H-M_alt 'P b a m'
_space_group_IT_number 55
loop_
_space_group_symop_operation_xyz
'x,y,z'
'-x,-y,-z'
'-x,-y,z'
'x,y,-z'
'x+1/2,-y+1/2,-z'
'-x+1/2,y+1/2,z'
'-x+1/2,y+1/2,-z'
'x+1/2,-y+1/2,z'
loop_
_atom_site_label
_atom_site_type_symbol
_atom_site_fract_x
_atom_site_fract_y
_atom_site_fract_z
_atom_site_occupancy
Sc1 Sc 0.0260 0.2092 0.0000 1
Sc2 Sc 0.2149 0.9610 0.0000 1
Si1 Si 0.1605 0.6931 0.5000 1
Pt1 Pt 0.0000 0.5000 0.5000 1
Pt2 Pt 0.0925 0.6179 0.0000 1
Pt3 Pt 0.0958 0.0790 0.5000 1
Pt4 Pt 0.2143 0.3323 0.5000 1
```

Principal peaks in the range 15 to 90 degrees two-theta, low angle first:
| 2theta | I_rel |
| --- | --- |
| 25.7 | 32 |
| 34.1 | 48 |
| 35.8 | 40 |
| 37.1 | 49 |
| 38.0 | 100 |
| 39.2 | 59 |
| 43.0 | 47 |
| 45.0 | 50 |

***

Record 7
Starting from a crystal structure in the Materials Project, relaxed with GGA-PBE, the powder diffraction line list of LiSnP3O9 was computed for Cu Kα (λ = 1.5418 Å).
Lines closer than 0.1° are merged.

Structure:
```
data_LiSnP3O9
_chemical_formula_sum 'Li2 Sn2 P6 O18'
_cell_length_a 6.8628
_cell_length_b 7.3338
_cell_length_c 7.5215
_cell_angle_alpha 83.71
_cell_angle_beta 79.23
_cell_angle_gamma 82.48
_space_group_name_H-M_alt 'P -1'
_space_group_IT_number 2
loop_
_space_group_symop_operation_xyz
'x,y,z'
'-x,-y,-z'
loop_
_atom_site_label
_atom_site_type_symbol
_atom_site_fract_x
_atom_site_fract_y
_atom_site_fract_z
_atom_site_occupancy
Li1 Li 0.0524 0.1735 0.1765 1
Sn1 Sn 0.4487 0.7663 0.8539 1
P1 P 0.0868 0.6144 0.2171 1
P2 P 0.2693 0.8397 0.4418 1
P3 P 0.3476 0.2802 0.7755 1
O1 O 0.1333 0.7484 0.0496 1
O2 O 0.1396 0.4127 0.2017 1
O3 O 0.1480 0.3460 0.6958 1
O4 O 0.1788 0.6672 0.3844 1
O5 O 0.2119 0.8399 0.6460 1
O6 O 0.2309 0.0100 0.3206 1
O7 O 0.3241 0.1121 0.9095 1
O8 O 0.4272 0.4372 0.8434 1
O9 O 0.4910 0.2282 0.5868 1
```

Principal peaks in the range 15 to 90 degrees two-theta, low angle first:
| 2theta | I_rel |
| --- | --- |
| 19.0 | 29 |
| 24.6 | 55 |
| 26.5 | 24 |
| 26.7 | 100 |
| 28.1 | 42 |
| 31.2 | 63 |
| 32.9 | 28 |
| 40.3 | 24 |

***

Record 8
Starting from a crystal structure in the Materials Project, relaxed with GGA-PBE, the powder diffraction line list of YNi2Ge2 was computed for Cu Kα (λ = 1.5418 Å).
Lines closer than 0.1° are merged.

Structure:
```
data_YNi2Ge2
_chemical_formula_sum 'Y2 Ni4 Ge4'
_cell_length_a 4.0668
_cell_length_b 4.0668
_cell_length_c 9.8254
_cell_angle_alpha 90.00
_cell_angle_beta 90.00
_cell_angle_gamma 90.00
_space_group_name_H-M_alt 'I 4/m m m'
_space_group_IT_number 139
_space_group_name_Hall '-I 4 2'
loop_
_atom_site_label
_atom_site_type_symbol
_atom_site_fract_x
_atom_site_fract_y
_atom_site_fract_z
_atom_site_occupancy
Y1 Y 0.0000 0.0000 0.0000 1
Ni1 Ni 0.0000 0.5000 0.2500 1
Ge1 Ge 0.0000 0.0000 0.3714 1
```

Principal peaks in the range 15 to 90 degrees two-theta, low angle first:
| 2theta | I_rel |
| --- | --- |
| 35.2 | 98 |
| 36.2 | 100 |
| 44.6 | 83 |
| 48.8 | 33 |
| 51.7 | 26 |
| 58.0 | 45 |
| 64.8 | 26 |
| 65.6 | 20 |

***

Record 9
Starting from a crystal structure in the Materials Project, relaxed with GGA-PBE, the powder diffraction line list of Ca4As2O was computed for Cu Kα (λ = 1.5418 Å).
Lines closer than 0.1° are merged.

Structure:
```
data_Ca4As2O
_chemical_formula_sum 'Ca8 As4 O2'
_cell_length_a 4.5666
_cell_length_b 4.5666
_cell_length_c 15.4974
_cell_angle_alpha 90.00
_cell_angle_beta 90.00
_cell_angle_gamma 90.00
_space_group_name_H-M_alt 'I 4/m m m'
_space_group_IT_number 139
_space_group_name_Hall '-I 4 2'
loop_
_atom_site_label
_atom_site_type_symbol
_atom_site_fract_x
_atom_site_fract_y
_atom_site_fract_z
_atom_site_occupancy
Ca1 Ca 0.0000 0.0000 0.1717 1
Ca2 Ca 0.0000 0.5000 0.0000 1
As1 As 0.0000 0.0000 0.3628 1
O1 O 0.0000 0.0000 0.0000 1
```

Principal peaks in the range 15 to 90 degrees two-theta, low angle first:
| 2theta | I_rel |
| --- | --- |
| 27.6 | 50 |
| 30.0 | 53 |
| 34.7 | 29 |
| 35.0 | 31 |
| 36.2 | 100 |
| 39.5 | 73 |
| 53.6 | 30 |
| 69.5 | 28 |